# 1
# CsMgNiCl6
Theoretical powder diffractogram, Cu Kα X-rays. Input: DFT lattice parameters and positions (GGA-PBE).

Principal peaks in the range 10° ≤ 2θ ≤ 80°, in order of rising 2θ:
d/Å  2theta  Rel. int.
5.553  15.96  27
4.616  19.23  100
4.455  19.93  93
4.414  20.12  92
2.958  30.21  25
2.922  30.60  49
2.560  35.06  53
2.418  37.18  82
1.851  49.23  32
1.678  54.71  25

```
CsMgNiCl6
1.0
6.250 0.000 0.000
-2.864 5.558 0.000
-0.190 -0.288 7.851
Cs Mg Ni Cl
1 1 1 6
direct
0.000 0.000 0.000 Cs
0.334 0.667 0.500 Mg
0.677 0.324 0.500 Ni
0.393 0.346 0.333 Cl
0.395 0.004 0.692 Cl
0.651 0.011 0.338 Cl
0.656 0.607 0.667 Cl
0.991 0.350 0.662 Cl
0.996 0.607 0.308 Cl
```


# 2
# Pr5Si2I2
Theoretical powder diffractogram, Cu Kα X-rays. Input: DFT lattice parameters and positions (GGA-PBE).

Principal peaks in the range 10° ≤ 2θ ≤ 80°, in order of rising 2θ:
d/Å  2theta  Rel. int.
3.626  24.55  45
3.523  25.28  39
3.001  29.77  36
2.864  31.23  100
2.856  31.32  50
2.819  31.75  67
2.701  33.17  60
2.534  35.42  44
2.519  35.64  43
1.643  55.96  41

```
Pr5Si2I2
1.0
8.098 -4.060 0.000
8.098 4.060 0.000
0.000 0.000 8.059
Pr Si I
10 4 4
direct
0.000 0.000 0.000 Pr
0.049 0.710 0.669 Pr
0.210 0.549 0.169 Pr
0.290 0.951 0.669 Pr
0.451 0.790 0.169 Pr
0.500 0.500 0.500 Pr
0.549 0.210 0.831 Pr
0.710 0.049 0.331 Pr
0.790 0.451 0.831 Pr
0.951 0.290 0.331 Pr
0.123 0.877 0.377 Si
0.377 0.623 0.877 Si
0.623 0.377 0.123 Si
0.877 0.123 0.623 Si
0.206 0.206 0.000 I
0.294 0.294 0.500 I
0.706 0.706 0.500 I
0.794 0.794 0.000 I
```


# 3
# Tl5AgBr8
Theoretical powder diffractogram, Cu Kα X-rays. Input: DFT lattice parameters and positions (GGA-PBE).

Principal peaks in the range 10° ≤ 2θ ≤ 80°, in order of rising 2θ:
d/Å  2theta  Rel. int.
4.618  19.22  19
3.938  22.58  100
3.266  27.31  51
2.514  35.72  40
2.309  39.01  94
1.992  45.54  15
1.701  53.92  32
1.633  56.35  15
1.460  63.72  17
1.333  70.66  30

```
Tl5AgBr8
1.0
0.000 6.531 6.531
6.531 0.000 6.531
6.531 6.531 0.000
Tl Ag Br
5 1 8
direct
0.000 0.000 0.000 Tl
0.143 0.619 0.619 Tl
0.619 0.143 0.619 Tl
0.619 0.619 0.143 Tl
0.619 0.619 0.619 Tl
0.250 0.250 0.250 Ag
0.350 0.883 0.883 Br
0.373 0.373 0.373 Br
0.373 0.373 0.882 Br
0.373 0.882 0.373 Br
0.882 0.373 0.373 Br
0.883 0.350 0.883 Br
0.883 0.883 0.350 Br
0.883 0.883 0.883 Br
```